Record 1
This entry pairs a crystal structure of Pb2SeBr2 with its calculated XRD peak list. Radiation: a wavelength of 1.5418 Å. Structure: DFT lattice parameters and positions (GGA-PBE).
Kinematic intensities with the Lorentz-polarization factor, no thermal factor.

Top 12 peaks for 2θ = 15–90°, low angle first:
16.02 deg, intensity 29
19.94 deg, intensity 33
26.49 deg, intensity 100
28.87 deg, intensity 74
31.23 deg, intensity 60
37.85 deg, intensity 38
40.30 deg, intensity 23
41.04 deg, intensity 37
41.26 deg, intensity 27
41.62 deg, intensity 23
51.43 deg, intensity 21
67.02 deg, intensity 22

Structure:
```
data_Pb2SeBr2
_chemical_formula_sum 'Pb8 Se4 Br8'
_cell_length_a 11.3843
_cell_length_b 8.6830
_cell_length_c 7.6800
_cell_angle_alpha 90.00
_cell_angle_beta 108.21
_cell_angle_gamma 90.00
_space_group_name_H-M_alt 'P 1 21/c 1'
_space_group_IT_number 14
_space_group_name_Hall '-P 2ybc'
loop_
_atom_site_label
_atom_site_type_symbol
_atom_site_fract_x
_atom_site_fract_y
_atom_site_fract_z
Pb1 Pb 0.0179 0.1241 0.2415
Pb2 Pb 0.3440 0.1151 0.7654
Se1 Se 0.1731 0.1489 0.9932
Br1 Br 0.1585 0.6301 0.9976
Br2 Br 0.4695 0.7197 0.3918
```



Record 2
This entry pairs a crystal structure of Pb2SeBr with its calculated XRD peak list. Radiation: a wavelength of 1.5418 Å. Structure: DFT lattice parameters and positions (GGA-PBE).
Kinematic intensities with the Lorentz-polarization factor, no thermal factor.

Top 12 peaks for 2θ = 15–90°, low angle first:
21.23 deg, intensity 29
28.68 deg, intensity 36
28.91 deg, intensity 62
29.91 deg, intensity 100
31.02 deg, intensity 18
34.36 deg, intensity 51
35.80 deg, intensity 23
44.65 deg, intensity 20
44.90 deg, intensity 20
48.79 deg, intensity 30
54.29 deg, intensity 22
61.40 deg, intensity 25

Structure:
```
data_Pb2SeBr
_chemical_formula_sum 'Pb4 Se2 Br2'
_cell_length_a 12.4705
_cell_length_b 4.0375
_cell_length_c 5.0637
_cell_angle_alpha 90.00
_cell_angle_beta 97.87
_cell_angle_gamma 90.00
_space_group_name_H-M_alt 'C 1 m 1'
_space_group_IT_number 8
_space_group_name_Hall 'C -2y'
loop_
_atom_site_label
_atom_site_type_symbol
_atom_site_fract_x
_atom_site_fract_y
_atom_site_fract_z
Pb1 Pb 0.0000 0.0000 0.0000
Pb2 Pb 0.2246 0.5000 0.3906
Se1 Se 0.4974 0.0000 0.4269
Br1 Br 0.2424 0.0000 0.8657
```



Record 3
This entry pairs a crystal structure of PbSe2Br with its calculated XRD peak list. Radiation: a wavelength of 1.5418 Å. Structure: DFT lattice parameters and positions (GGA-PBE).
Kinematic intensities with the Lorentz-polarization factor, no thermal factor.

Top 12 peaks for 2θ = 15–90°, low angle first:
21.52 deg, intensity 15
25.69 deg, intensity 10
28.09 deg, intensity 100
32.51 deg, intensity 18
36.30 deg, intensity 33
38.01 deg, intensity 44
42.22 deg, intensity 12
42.63 deg, intensity 12
43.71 deg, intensity 14
47.49 deg, intensity 14
52.79 deg, intensity 10
66.51 deg, intensity 10

Structure:
```
data_PbSe2Br
_chemical_formula_sum 'Pb2 Se4 Br2'
_cell_length_a 8.7476
_cell_length_b 4.1419
_cell_length_c 7.5081
_cell_angle_alpha 90.00
_cell_angle_beta 104.14
_cell_angle_gamma 90.00
_space_group_name_H-M_alt 'C 1 m 1'
_space_group_IT_number 8
_space_group_name_Hall 'C -2y'
loop_
_atom_site_label
_atom_site_type_symbol
_atom_site_fract_x
_atom_site_fract_y
_atom_site_fract_z
Pb1 Pb 0.0000 0.0000 0.0000
Se1 Se 0.0347 0.5000 0.6636
Se2 Se 0.2857 0.0000 0.7426
Br1 Br 0.2332 0.5000 0.2187
```



Record 4
This entry pairs a crystal structure of SiPbBr with its calculated XRD peak list. Radiation: a wavelength of 1.5418 Å. Structure: DFT lattice parameters and positions (GGA-PBE).
Kinematic intensities with the Lorentz-polarization factor, no thermal factor.

Top 12 peaks for 2θ = 15–90°, low angle first:
16.20 deg, intensity 45
22.98 deg, intensity 92
30.56 deg, intensity 76
32.73 deg, intensity 100
34.77 deg, intensity 29
43.76 deg, intensity 28
45.39 deg, intensity 44
46.96 deg, intensity 18
50.00 deg, intensity 30
55.70 deg, intensity 57
63.62 deg, intensity 23
73.40 deg, intensity 18

Structure:
```
data_SiPbBr
_chemical_formula_sum 'Si2 Pb2 Br2'
_cell_length_a 4.1373
_cell_length_b 4.1373
_cell_length_c 10.9442
_cell_angle_alpha 90.00
_cell_angle_beta 90.00
_cell_angle_gamma 90.00
_space_group_name_H-M_alt 'I 4 m m'
_space_group_IT_number 107
_space_group_name_Hall 'I 4 -2'
loop_
_atom_site_label
_atom_site_type_symbol
_atom_site_fract_x
_atom_site_fract_y
_atom_site_fract_z
Si1 Si 0.0000 0.0000 0.0000
Pb1 Pb 0.0000 0.0000 0.5121
Br1 Br 0.0000 0.0000 0.2250
```



Record 5
This entry pairs a crystal structure of Sn3PbBr8 with its calculated XRD peak list. Radiation: a wavelength of 1.5418 Å. Structure: DFT lattice parameters and positions (GGA-PBE).
Kinematic intensities with the Lorentz-polarization factor, no thermal factor.

Top 12 peaks for 2θ = 15–90°, low angle first:
23.63 deg, intensity 51
28.96 deg, intensity 100
29.22 deg, intensity 49
31.98 deg, intensity 14
38.44 deg, intensity 14
40.81 deg, intensity 59
42.04 deg, intensity 18
42.38 deg, intensity 35
50.69 deg, intensity 10
50.95 deg, intensity 21
60.01 deg, intensity 12
74.29 deg, intensity 10

Structure:
```
data_Sn3PbBr8
_chemical_formula_sum 'Sn6 Pb2 Br16'
_cell_length_a 14.6098
_cell_length_b 8.8507
_cell_length_c 8.6077
_cell_angle_alpha 90.00
_cell_angle_beta 123.18
_cell_angle_gamma 90.00
_space_group_name_H-M_alt 'C 1 2/m 1'
_space_group_IT_number 12
_space_group_name_Hall '-C 2y'
loop_
_atom_site_label
_atom_site_type_symbol
_atom_site_fract_x
_atom_site_fract_y
_atom_site_fract_z
Sn1 Sn 0.0000 0.0000 0.0000
Sn2 Sn 0.2500 0.2500 0.5000
Pb1 Pb 0.0000 0.5000 0.0000
Br1 Br 0.0028 0.2466 0.2468
Br2 Br 0.2476 0.0000 0.2564
Br3 Br 0.2494 0.0000 0.7399
```



Record 6
This entry pairs a crystal structure of SnPbBr6 with its calculated XRD peak list. Radiation: a wavelength of 1.5418 Å. Structure: DFT lattice parameters and positions (GGA-PBE).
Kinematic intensities with the Lorentz-polarization factor, no thermal factor.

Top 12 peaks for 2θ = 15–90°, low angle first:
17.15 deg, intensity 77
22.11 deg, intensity 33
29.87 deg, intensity 100
31.59 deg, intensity 46
38.78 deg, intensity 21
38.98 deg, intensity 16
41.53 deg, intensity 15
42.65 deg, intensity 17
42.84 deg, intensity 21
43.88 deg, intensity 33
44.18 deg, intensity 34
54.19 deg, intensity 18

Structure:
```
data_SnPbBr6
_chemical_formula_sum 'Sn2 Pb2 Br12'
_cell_length_a 7.1071
_cell_length_b 12.6647
_cell_length_c 7.0440
_cell_angle_alpha 90.00
_cell_angle_beta 106.38
_cell_angle_gamma 90.00
_space_group_name_H-M_alt 'C 1 2/m 1'
_space_group_IT_number 12
_space_group_name_Hall '-C 2y'
loop_
_atom_site_label
_atom_site_type_symbol
_atom_site_fract_x
_atom_site_fract_y
_atom_site_fract_z
Sn1 Sn 0.0000 0.0000 0.0000
Pb1 Pb 0.0000 0.5000 0.5000
Br1 Br 0.2141 0.1511 0.2231
Br2 Br 0.2415 0.0000 0.7716
```



Record 7
This entry pairs a crystal structure of TlSnPb2Br with its calculated XRD peak list. Radiation: a wavelength of 1.5418 Å. Structure: DFT lattice parameters and positions (GGA-PBE).
Kinematic intensities with the Lorentz-polarization factor, no thermal factor.

Top 12 peaks for 2θ = 15–90°, low angle first:
16.60 deg, intensity 40
29.38 deg, intensity 57
29.53 deg, intensity 98
31.88 deg, intensity 71
33.75 deg, intensity 100
34.43 deg, intensity 59
35.99 deg, intensity 32
38.20 deg, intensity 24
50.25 deg, intensity 22
50.83 deg, intensity 32
59.63 deg, intensity 20
61.28 deg, intensity 23

Structure:
```
data_TlSnPb2Br
_chemical_formula_sum 'Tl2 Sn2 Pb4 Br2'
_cell_length_a 12.2990
_cell_length_b 3.5917
_cell_length_c 7.5783
_cell_angle_alpha 90.00
_cell_angle_beta 105.05
_cell_angle_gamma 90.00
_space_group_name_H-M_alt 'C 1 m 1'
_space_group_IT_number 8
_space_group_name_Hall 'C -2y'
loop_
_atom_site_label
_atom_site_type_symbol
_atom_site_fract_x
_atom_site_fract_y
_atom_site_fract_z
Tl1 Tl 0.0000 0.0000 0.0000
Sn1 Sn 0.3908 0.5000 0.5321
Pb1 Pb 0.0779 0.5000 0.4009
Pb2 Pb 0.2406 0.0000 0.7434
Br1 Br 0.2708 0.5000 0.1529
```



Record 8
This entry pairs a crystal structure of Sr3PbBr8 with its calculated XRD peak list. Radiation: a wavelength of 1.5418 Å. Structure: DFT lattice parameters and positions (GGA-PBE).
Kinematic intensities with the Lorentz-polarization factor, no thermal factor.

Top 12 peaks for 2θ = 15–90°, low angle first:
15.87 deg, intensity 45
23.50 deg, intensity 34
25.88 deg, intensity 52
29.24 deg, intensity 100
34.26 deg, intensity 22
35.77 deg, intensity 17
39.44 deg, intensity 69
39.96 deg, intensity 19
40.47 deg, intensity 21
43.14 deg, intensity 17
48.67 deg, intensity 19
50.99 deg, intensity 16

Structure:
```
data_Sr3PbBr8
_chemical_formula_sum 'Sr6 Pb2 Br16'
_cell_length_a 8.3886
_cell_length_b 13.7684
_cell_length_c 8.9158
_cell_angle_alpha 90.00
_cell_angle_beta 90.00
_cell_angle_gamma 90.00
_space_group_name_H-M_alt 'C 2 2 2'
_space_group_IT_number 21
_space_group_name_Hall 'C 2 2'
loop_
_atom_site_label
_atom_site_type_symbol
_atom_site_fract_x
_atom_site_fract_y
_atom_site_fract_z
Sr1 Sr 0.0000 0.0000 0.0000
Sr2 Sr 0.2500 0.2500 0.7494
Pb1 Pb 0.0000 0.0000 0.5000
Br1 Br 0.0000 0.2232 0.0000
Br2 Br 0.0000 0.2228 0.5000
Br3 Br 0.2483 0.0260 0.7497
```



Record 9
This entry pairs a crystal structure of Sr4PbBr5 with its calculated XRD peak list. Radiation: a wavelength of 1.5418 Å. Structure: DFT lattice parameters and positions (GGA-PBE).
Kinematic intensities with the Lorentz-polarization factor, no thermal factor.

Top 12 peaks for 2θ = 15–90°, low angle first:
22.21 deg, intensity 12
27.38 deg, intensity 100
27.93 deg, intensity 51
28.68 deg, intensity 12
33.73 deg, intensity 11
37.29 deg, intensity 17
38.90 deg, intensity 42
40.12 deg, intensity 33
40.86 deg, intensity 18
50.22 deg, intensity 20
56.48 deg, intensity 13
63.32 deg, intensity 11

Structure:
```
data_Sr4PbBr5
_chemical_formula_sum 'Sr8 Pb2 Br10'
_cell_length_a 19.9854
_cell_length_b 4.4175
_cell_length_c 9.6547
_cell_angle_alpha 90.00
_cell_angle_beta 106.48
_cell_angle_gamma 90.00
_space_group_name_H-M_alt 'C 1 2/m 1'
_space_group_IT_number 12
_space_group_name_Hall '-C 2y'
loop_
_atom_site_label
_atom_site_type_symbol
_atom_site_fract_x
_atom_site_fract_y
_atom_site_fract_z
Sr1 Sr 0.0041 0.0000 0.2605
Sr2 Sr 0.1721 0.5000 0.1174
Pb1 Pb 0.0000 0.5000 0.0000
Br1 Br 0.0000 0.5000 0.5000
Br2 Br 0.1687 0.0000 0.3349
Br3 Br 0.1695 0.0000 0.8770
```



Record 10
This entry pairs a crystal structure of SrPb5Br12 with its calculated XRD peak list. Radiation: a wavelength of 1.5418 Å. Structure: DFT lattice parameters and positions (GGA-PBE).
Kinematic intensities with the Lorentz-polarization factor, no thermal factor.

Top 12 peaks for 2θ = 15–90°, low angle first:
23.63 deg, intensity 51
26.16 deg, intensity 70
26.24 deg, intensity 19
29.89 deg, intensity 100
34.59 deg, intensity 43
39.80 deg, intensity 80
40.57 deg, intensity 72
45.54 deg, intensity 22
48.32 deg, intensity 15
53.77 deg, intensity 24
62.34 deg, intensity 17
72.82 deg, intensity 19

Structure:
```
data_SrPb5Br12
_chemical_formula_sum 'Sr2 Pb10 Br24'
_cell_length_a 7.7920
_cell_length_b 13.5767
_cell_length_c 13.8950
_cell_angle_alpha 90.00
_cell_angle_beta 90.05
_cell_angle_gamma 90.00
_space_group_name_H-M_alt 'C 1 2/m 1'
_space_group_IT_number 12
_space_group_name_Hall '-C 2y'
loop_
_atom_site_label
_atom_site_type_symbol
_atom_site_fract_x
_atom_site_fract_y
_atom_site_fract_z
Sr1 Sr 0.0000 0.0000 0.0000
Pb1 Pb 0.0000 0.1667 0.5000
Pb2 Pb 0.0000 0.3333 0.0000
Pb3 Pb 0.0000 0.5000 0.5000
Br1 Br 0.1655 0.0000 0.3814
Br2 Br 0.1663 0.1668 0.1176
Br3 Br 0.1658 0.3333 0.3815
Br4 Br 0.1657 0.5000 0.1175
```



Record 11
This entry pairs a crystal structure of TaPbBr4 with its calculated XRD peak list. Radiation: a wavelength of 1.5418 Å. Structure: DFT lattice parameters and positions (GGA-PBE).
Kinematic intensities with the Lorentz-polarization factor, no thermal factor.

Top 12 peaks for 2θ = 15–90°, low angle first:
17.38 deg, intensity 9
28.56 deg, intensity 59
33.63 deg, intensity 100
35.17 deg, intensity 17
50.59 deg, intensity 25
53.89 deg, intensity 35
59.12 deg, intensity 26
66.95 deg, intensity 11
69.76 deg, intensity 12
70.69 deg, intensity 6
81.48 deg, intensity 13
84.11 deg, intensity 23

Structure:
```
data_TaPbBr4
_chemical_formula_sum 'Ta4 Pb4 Br16'
_cell_length_a 8.8398
_cell_length_b 8.8398
_cell_length_c 8.8398
_cell_angle_alpha 90.00
_cell_angle_beta 90.00
_cell_angle_gamma 90.00
_space_group_name_H-M_alt 'F -4 3 m'
_space_group_IT_number 216
_space_group_name_Hall 'F -4 2 3'
loop_
_atom_site_label
_atom_site_type_symbol
_atom_site_fract_x
_atom_site_fract_y
_atom_site_fract_z
Ta1 Ta 0.0000 0.0000 0.0000
Pb1 Pb 0.2500 0.2500 0.2500
Br1 Br 0.1260 0.1260 0.6260
```